# 1
# Tl3AsF6
Simulated powder X-ray diffraction pattern, Cu Kα. Input: DFT lattice parameters and positions (PBE).

Structural model:
abc: 6.455 6.455 6.769
angles: 118.53 118.53 60.33
Atoms (fractional coordinates):
1 Tl 0.000 0.000 0.000
2 Tl 0.243 0.243 0.725
3 Tl 0.757 0.757 0.275
4 As 0.500 0.500 0.500
5 F 0.209 0.662 0.642
6 F 0.295 0.295 0.195
7 F 0.338 0.791 0.358
8 F 0.662 0.209 0.642
9 F 0.705 0.705 0.805
10 F 0.791 0.338 0.358

Principal peaks in the range 2θ = 5–70°, low angle first:
d_spacing, two_theta, I/Imax
3.376, 26.40, 1000
3.243, 27.50, 311
3.227, 27.64, 647
2.339, 38.48, 349
1.981, 45.81, 151
1.891, 48.13, 322
1.869, 48.71, 150
1.688, 54.35, 146

# 2
# Tb7Er3In2
Simulated powder X-ray diffraction pattern, Cu Kα. Input: DFT lattice parameters and positions (PBE).

Structural model:
abc: 5.571 3.588 18.436
angles: 90.00 94.03 90.00
Atoms (fractional coordinates):
1 Tb 0.000 0.000 0.000
2 Tb 0.165 0.500 0.175
3 Tb 0.259 0.500 0.540
4 Tb 0.339 0.000 0.853
5 Tb 0.661 0.000 0.147
6 Tb 0.741 0.500 0.460
7 Tb 0.835 0.500 0.825
8 Er 0.219 0.000 0.366
9 Er 0.500 0.500 0.000
10 Er 0.781 0.000 0.634
11 In 0.302 0.500 0.707
12 In 0.698 0.500 0.293

Principal peaks in the range 2θ = 5–70°, low angle first:
d_spacing, two_theta, I/Imax
3.065, 29.13, 220
2.831, 31.60, 1000
2.777, 32.24, 457
2.767, 32.35, 220
2.747, 32.60, 286
2.566, 34.97, 237
1.794, 50.89, 262
1.506, 61.57, 212